For Tm2AlCoO6, a DFT-relaxed cell (PBE+U, Alexandria) gives the simulated powder diffraction line list in this record (a wavelength of 1.5418 Å).

Most intense lines, 2θ from 5° to 70°, low angle first:
- d 3.725, rel. 69.0, hkl 1 1 -1
- d 3.680, rel. 46.1, hkl 0 0 2
- d 2.704, rel. 33.7, hkl 0 2 0
- d 2.626, rel. 100.0, hkl 1 1 1
- d 2.609, rel. 98.3, hkl 1 1 -3
- d 2.568, rel. 50.8, hkl 2 0 -2
- d 2.538, rel. 37.5, hkl 0 2 1
- d 1.862, rel. 33.2, hkl 2 2 -2
- d 1.657, rel. 46.6, hkl 1 3 0
- d 1.488, rel. 39.4, hkl 2 0 -6

Lattice parameters (Å, degrees): 5.1368 5.4084 8.9379 90.00 124.57 90.00
Space group P2_1/c (No. 14)
Symmetry-distinct sites (fractional):
Tm (0.2314, 0.0691, 0.2497) x4
Al (0.5000, 0.0000, 0.0000) x2
Co (0.0000, 0.0000, 0.5000) x2
O (0.1464, 0.1968, 0.9489) x4
O (0.2541, 0.7020, 0.9475) x4
O (0.3537, 0.0303, 0.7523) x4